(1)
Starting from the PBE+U geometry in Alexandria, the XRD peak list of Mg3Te2Pb6WO18 was calculated for Cu Kα X-rays.

Largest 12 diffraction maxima, in order of falling intensity, 10° ≤ 2θ ≤ 90°:
hkl 1 1 0, 2θ 31.31, d 2.857, rel. 100
hkl 3 0 0, 2θ 55.73, d 1.649, rel. 41
hkl 0 2 4, 2θ 44.87, d 2.020, rel. 28
hkl 1 3 4, 2θ 74.22, d 1.278, rel. 18
hkl 2 2 0, 2θ 65.32, d 1.429, rel. 18
hkl 0 1 2, 2θ 22.00, d 4.040, rel. 16
hkl 2 0 2, 2θ 38.60, d 2.333, rel. 15
hkl 1 0 1, 2θ 19.02, d 4.666, rel. 12
hkl 1 2 2, 2θ 50.51, d 1.807, rel. 9
hkl 4 0 4, 2θ 82.75, d 1.166, rel. 6
hkl 0 1 5, 2θ 36.89, d 2.436, rel. 6
hkl 0 4 2, 2θ 78.52, d 1.218, rel. 5

Atomic structure:
```
30
Lattice="5.7149 0.0000 0.0000 -2.8574 4.9492 0.0000 0.0000 0.0000 13.9923" Properties=species:S:1:pos:R:3 pbc="T T T"
Mg 0.0000 0.0000 0.0000
Mg 0.0000 3.2995 9.3002
Mg 2.8574 1.6497 4.6921
Te 0.0000 3.2995 2.3279
Te 2.8574 1.6497 11.6644
Pb 0.0000 0.0000 3.4925
Pb 0.0000 0.0000 10.4998
Pb 0.0000 3.2995 5.8002
Pb 0.0000 3.2995 12.8111
Pb 2.8574 1.6497 1.1811
Pb 2.8574 1.6497 8.1921
W 0.0000 0.0000 6.9961
O -1.3730 2.5068 3.4568
O 0.0000 1.5942 8.1270
O -1.4768 4.1521 8.1270
O 0.0000 1.7076 1.2101
O -1.3786 4.0954 1.2101
O 1.3806 0.7971 5.8653
O 1.4788 0.8538 12.7822
O 1.3730 2.5068 3.4568
O 0.0000 4.8849 3.4568
O 2.8574 0.0644 10.5355
O 1.4845 2.4424 10.5355
O 1.3786 4.0954 1.2101
O 1.4768 4.1521 8.1270
O 4.2361 0.8538 12.7822
O 2.8574 3.2416 12.7822
O 4.3342 0.7971 5.8653
O 2.8574 3.3550 5.8653
O 4.2304 2.4424 10.5355
```

***

(2)
Starting from the PBE+U geometry in Alexandria, the XRD peak list of Mg2TePb4WO12 was calculated for Cu Kα X-rays.

Largest 12 diffraction maxima, in order of falling intensity, 10° ≤ 2θ ≤ 90°:
hkl 2 1 2, 2θ 31.19, d 2.868, rel. 100
hkl 0 0 4, 2θ 31.06, d 2.879, rel. 48
hkl 2 1 6, 2θ 55.34, d 1.660, rel. 34
hkl 0 2 4, 2θ 44.50, d 2.036, rel. 25
hkl 1 0 2, 2θ 18.92, d 4.689, rel. 21
hkl 4 0 4, 2θ 55.58, d 1.654, rel. 20
hkl 2 0 4, 2θ 38.39, d 2.345, rel. 18
hkl 4 2 4, 2θ 65.04, d 1.434, rel. 16
hkl 4 0 0, 2θ 44.87, d 2.020, rel. 15
hkl 0 1 2, 2θ 21.83, d 4.072, rel. 13
hkl 6 1 2, 2θ 74.17, d 1.279, rel. 10
hkl 0 2 8, 2θ 73.60, d 1.287, rel. 10

Atomic structure:
```
40
Lattice="8.0794 0.0000 0.0000 0.0000 5.7612 0.0000 0.0000 0.0000 11.5134" Properties=species:S:1:pos:R:3 pbc="T T T"
Mg 0.0000 0.0271 0.0000
Mg 0.0000 5.7341 5.7567
Mg 4.0397 2.8004 8.7312
Mg 4.0397 2.9608 2.9745
Te 4.0397 0.0150 5.7632
Te 4.0397 5.7462 0.0065
Pb 1.9987 0.2408 2.7945
Pb 1.9987 5.5205 8.5511
Pb 2.0385 2.7130 5.9111
Pb 2.0385 3.0482 0.1544
Pb 6.0409 2.7130 5.9111
Pb 6.0409 3.0482 0.1544
Pb 6.0807 0.2408 2.7945
Pb 6.0807 5.5205 8.5511
W 0.0000 2.8466 8.7071
W 0.0000 2.9146 2.9504
O 0.0000 1.3568 1.6098
O 0.0000 1.4707 9.9960
O 0.0000 1.5201 4.3231
O 0.0000 1.6193 7.1959
O 0.0000 4.1419 1.4392
O 0.0000 4.2411 10.0797
O 0.0000 4.2905 4.2393
O 0.0000 4.4044 7.3665
O 1.9615 2.7813 2.8335
O 1.9615 2.9799 8.5902
O 2.0960 0.1239 5.8642
O 2.0960 5.6373 0.1075
O 4.0397 1.2136 1.5218
O 4.0397 1.3337 4.3342
O 4.0397 1.4445 10.2760
O 4.0397 1.5616 7.0326
O 4.0397 4.1997 1.2759
O 4.0397 4.3168 4.5193
O 4.0397 4.4275 10.0909
O 4.0397 4.5476 7.2785
O 5.9834 0.1239 5.8642
O 5.9834 5.6373 0.1075
O 6.1179 2.7813 2.8335
O 6.1179 2.9799 8.5902
```